Record 1
Starting from a crystal structure in Alexandria, relaxed with GGA-PBE, the powder XRD pattern of Tb2Pm8Nd was computed for a wavelength of 1.5418 Å.

Top 10 peaks for 10 to 90 degrees two-theta, sorted by position:
29.33°, rel. 41.0
29.72°, rel. 70.8
30.07°, rel. 100.0
32.14°, rel. 77.4
32.75°, rel. 27.7
33.70°, rel. 55.7
34.33°, rel. 22.5
39.90°, rel. 19.4
53.59°, rel. 19.9
60.55°, rel. 18.0

Lattice parameters (Å, degrees): 6.9723 6.9723 9.1351 100.87 100.87 61.54
Fractional positions:
Tb 0.1662 0.1662 0.1515
Tb 0.8338 0.8338 0.8485
Pm 0.2202 0.6667 0.1756
Pm 0.2921 0.2921 0.8422
Pm 0.3333 0.7798 0.8244
Pm 0.3427 0.3427 0.4984
Pm 0.6573 0.6573 0.5016
Pm 0.6667 0.2202 0.1756
Pm 0.7079 0.7079 0.1578
Pm 0.7798 0.3333 0.8244
Nd 0.0000 0.0000 0.5000



Record 2
Starting from a crystal structure in Alexandria, relaxed with GGA-PBE, the powder XRD pattern of Sc6In5Ir was computed for a wavelength of 1.5418 Å.

Top 10 peaks for 10 to 90 degrees two-theta, sorted by position:
21.87°, rel. 22.1
27.41°, rel. 22.5
35.33°, rel. 100.0
39.10°, rel. 17.1
39.20°, rel. 20.1
44.59°, rel. 12.1
45.29°, rel. 12.1
56.57°, rel. 11.1
60.81°, rel. 17.1
68.55°, rel. 13.4

Lattice parameters (Å, degrees): 8.3412 8.3412 8.3412 148.02 121.68 68.08
Fractional positions:
Sc 0.0728 0.3412 0.7316
Sc 0.2078 0.0000 0.2078
Sc 0.3904 0.6588 0.7316
Sc 0.6096 0.3412 0.2684
Sc 0.7922 0.0000 0.7922
Sc 0.9272 0.6588 0.2684
In 0.1843 0.1843 0.0000
In 0.3458 0.8458 0.5000
In 0.5000 0.5000 0.0000
In 0.6542 0.1542 0.5000
In 0.8157 0.8157 0.0000
Ir 0.0000 0.5000 0.5000



Record 3
Starting from a crystal structure in Alexandria, relaxed with GGA-PBE, the powder XRD pattern of PmSbPRh2 was computed for a wavelength of 1.5418 Å.

Top 10 peaks for 10 to 90 degrees two-theta, sorted by position:
13.85°, rel. 51.1
25.33°, rel. 20.8
27.91°, rel. 17.4
33.19°, rel. 100.0
35.25°, rel. 30.8
41.44°, rel. 37.5
42.95°, rel. 44.7
47.84°, rel. 17.1
56.73°, rel. 15.5
72.50°, rel. 20.3

Lattice parameters (Å, degrees): 4.2112 4.2112 6.3926 90.00 90.00 90.00
Fractional positions:
Pm 0.0000 0.0000 0.0000
Sb 0.5000 0.5000 0.1511
P 0.0000 0.0000 0.5651
Rh 0.0000 0.5000 0.4212
Rh 0.5000 0.0000 0.4212



Record 4
Starting from a crystal structure in Alexandria, relaxed with GGA-PBE, the powder XRD pattern of La4Sn8Au was computed for a wavelength of 1.5418 Å.

Top 10 peaks for 10 to 90 degrees two-theta, sorted by position:
29.51°, rel. 13.4
31.39°, rel. 11.9
31.51°, rel. 100.0
34.17°, rel. 9.0
35.76°, rel. 11.1
39.19°, rel. 22.6
40.10°, rel. 23.7
57.31°, rel. 16.9
66.25°, rel. 12.2
67.51°, rel. 12.2

Lattice parameters (Å, degrees): 4.4980 4.5977 18.1564 90.00 90.00 90.00
Fractional positions:
La 0.0000 0.0000 0.0000
La 0.0000 0.5000 0.4795
La 0.5000 0.0000 0.7885
La 0.5000 0.5000 0.2821
Sn 0.0000 0.0000 0.3222
Sn 0.0000 0.0000 0.6208
Sn 0.0000 0.5000 0.1383
Sn 0.0000 0.5000 0.8614
Sn 0.5000 0.0000 0.1444
Sn 0.5000 0.0000 0.4312
Sn 0.5000 0.5000 0.6193
Sn 0.5000 0.5000 0.9665
Au 0.0000 0.5000 0.7137



Record 5
Starting from a crystal structure in Alexandria, relaxed with GGA-PBE, the powder XRD pattern of Ce2PtAu was computed for a wavelength of 1.5418 Å.

Top 10 peaks for 10 to 90 degrees two-theta, sorted by position:
30.42°, rel. 23.0
34.69°, rel. 100.0
35.63°, rel. 84.0
36.02°, rel. 99.7
38.79°, rel. 25.4
50.46°, rel. 21.1
60.80°, rel. 24.2
62.53°, rel. 17.0
63.30°, rel. 32.0
65.10°, rel. 21.5

Lattice parameters (Å, degrees): 6.2137 6.2137 6.2137 112.72 108.81 106.94
Fractional positions:
Ce 0.0000 0.2125 0.2125
Ce 0.0000 0.7875 0.7875
Ce 0.5000 0.2125 0.7125
Ce 0.5000 0.7875 0.2875
Pt 0.4514 0.7014 0.7500
Pt 0.5486 0.2986 0.2500
Au 0.0413 0.2913 0.7500
Au 0.9587 0.7087 0.2500



Record 6
Starting from a crystal structure in Alexandria, relaxed with GGA-PBE, the powder XRD pattern of Ca4Cl was computed for a wavelength of 1.5418 Å.

Top 10 peaks for 10 to 90 degrees two-theta, sorted by position:
15.48°, rel. 19.9
21.97°, rel. 16.7
26.99°, rel. 83.5
31.26°, rel. 100.0
44.79°, rel. 67.0
53.08°, rel. 33.6
55.64°, rel. 21.9
71.92°, rel. 12.3
74.09°, rel. 25.8
82.59°, rel. 19.0

Lattice parameters (Å, degrees): 5.7227 5.7227 5.7227 90.00 90.00 90.00
Fractional positions:
Ca 0.0000 0.0000 0.0000
Ca 0.0000 0.5000 0.5000
Ca 0.5000 0.0000 0.5000
Ca 0.5000 0.5000 0.0000
Cl 0.5000 0.5000 0.5000



What did the third record say?
Starting from a crystal structure in Alexandria, relaxed with GGA-PBE, the powder XRD pattern of PmSbPRh2 was computed for a wavelength of 1.5418 Å.

Top 10 peaks for 10 to 90 degrees two-theta, sorted by position:
13.85°, rel. 51.1
25.33°, rel. 20.8
27.91°, rel. 17.4
33.19°, rel. 100.0
35.25°, rel. 30.8
41.44°, rel. 37.5
42.95°, rel. 44.7
47.84°, rel. 17.1
56.73°, rel. 15.5
72.50°, rel. 20.3

Lattice parameters (Å, degrees): 4.2112 4.2112 6.3926 90.00 90.00 90.00
Fractional positions:
Pm 0.0000 0.0000 0.0000
Sb 0.5000 0.5000 0.1511
P 0.0000 0.0000 0.5651
Rh 0.0000 0.5000 0.4212
Rh 0.5000 0.0000 0.4212